Starting from DFT lattice parameters and positions (GGA+U), the powder diffraction line list of Li3Fe2Cu2O8 was computed for Cu Kα X-rays.
No peak broadening, texture or thermal motion is included.

Atomic structure:
```
data_Li3Fe2Cu2O8
_cell_length_a 5.804
_cell_length_b 5.896
_cell_length_c 5.971
_cell_angle_alpha 119.22
_cell_angle_beta 118.20
_cell_angle_gamma 90.62
_space_group_name_H-M_alt 'P 1'
_space_group_IT_number 1
loop_
_space_group_symop_operation_xyz
'x,y,z'
loop_
_atom_site_label
_atom_site_type_symbol
_atom_site_fract_x
_atom_site_fract_y
_atom_site_fract_z
Li1 Li 0.000 0.000 0.000
Li2 Li 0.000 0.500 0.000
Li3 Li 0.500 0.000 0.500
Fe1 Fe 0.500 0.000 0.000
Fe2 Fe 0.500 0.500 0.000
Cu1 Cu 0.000 0.500 0.500
Cu2 Cu 0.500 0.500 0.500
O1 O 0.243 0.738 0.527
O2 O 0.251 0.299 0.521
O3 O 0.285 0.282 0.064
O4 O 0.299 0.775 0.054
O5 O 0.701 0.225 0.946
O6 O 0.715 0.718 0.936
O7 O 0.749 0.701 0.479
O8 O 0.757 0.262 0.473
```

Top 10 peaks for 2θ from 15° to 90°, sorted by position:
| d [Å] | 2θ (°) | I/Imax |
| --- | --- | --- |
| 4.884 | 18.16 | 100 |
| 4.857 | 18.27 | 40 |
| 4.807 | 18.46 | 26 |
| 2.608 | 34.38 | 27 |
| 2.500 | 35.92 | 14 |
| 2.442 | 36.80 | 17 |
| 2.180 | 41.41 | 39 |
| 2.079 | 43.53 | 35 |
| 2.057 | 44.02 | 34 |
| 1.451 | 64.18 | 11 |


Starting from DFT lattice parameters and positions (GGA+U), the powder diffraction line list of Li4Fe5Cu3O16 was computed for Cu Kα X-rays.
No peak broadening, texture or thermal motion is included.

Atomic structure:
```
data_Li4Fe5Cu3O16
_cell_length_a 5.834
_cell_length_b 5.834
_cell_length_c 9.454
_cell_angle_alpha 91.22
_cell_angle_beta 91.22
_cell_angle_gamma 59.86
_space_group_name_H-M_alt 'P 1'
_space_group_IT_number 1
loop_
_space_group_symop_operation_xyz
'x,y,z'
loop_
_atom_site_label
_atom_site_type_symbol
_atom_site_fract_x
_atom_site_fract_y
_atom_site_fract_z
Li1 Li 0.000 0.000 0.000
Li2 Li 0.002 0.002 0.498
Li3 Li 0.336 0.336 0.893
Li4 Li 0.667 0.667 0.393
Fe1 Fe 0.172 0.172 0.218
Fe2 Fe 0.336 0.336 0.495
Fe3 Fe 0.342 0.835 0.717
Fe4 Fe 0.669 0.669 0.995
Fe5 Fe 0.835 0.342 0.717
Cu1 Cu 0.171 0.664 0.216
Cu2 Cu 0.664 0.171 0.216
Cu3 Cu 0.834 0.834 0.716
O1 O 0.007 0.007 0.308
O2 O 0.009 0.009 0.811
O3 O 0.038 0.474 0.343
O4 O 0.165 0.165 0.608
O5 O 0.175 0.680 0.602
O6 O 0.330 0.330 0.111
O7 O 0.330 0.849 0.103
O8 O 0.474 0.038 0.343
O9 O 0.481 0.481 0.340
O10 O 0.512 0.964 0.840
O11 O 0.521 0.521 0.836
O12 O 0.662 0.662 0.610
O13 O 0.680 0.175 0.602
O14 O 0.840 0.840 0.102
O15 O 0.849 0.330 0.103
O16 O 0.964 0.512 0.840
```

Top 10 peaks for 2θ from 15° to 90°, sorted by position:
| d [Å] | 2θ (°) | I/Imax |
| --- | --- | --- |
| 4.726 | 18.78 | 100 |
| 4.474 | 19.85 | 44 |
| 4.423 | 20.08 | 66 |
| 2.506 | 35.83 | 24 |
| 2.458 | 36.56 | 39 |
| 2.445 | 36.76 | 29 |
| 2.429 | 37.01 | 42 |
| 1.981 | 45.80 | 29 |
| 1.957 | 46.39 | 27 |
| 1.458 | 63.83 | 36 |


Starting from DFT lattice parameters and positions (GGA+U), the powder diffraction line list of Li4Fe2Cu3O10 was computed for Cu Kα X-rays.
No peak broadening, texture or thermal motion is included.

Atomic structure:
```
data_Li4Fe2Cu3O10
_cell_length_a 5.024
_cell_length_b 5.509
_cell_length_c 7.665
_cell_angle_alpha 101.94
_cell_angle_beta 102.99
_cell_angle_gamma 106.97
_space_group_name_H-M_alt 'P 1'
_space_group_IT_number 1
loop_
_space_group_symop_operation_xyz
'x,y,z'
loop_
_atom_site_label
_atom_site_type_symbol
_atom_site_fract_x
_atom_site_fract_y
_atom_site_fract_z
Li1 Li 0.110 0.207 0.234
Li2 Li 0.286 0.596 0.606
Li3 Li 0.714 0.404 0.394
Li4 Li 0.890 0.793 0.766
Fe1 Fe 0.408 0.826 0.314
Fe2 Fe 0.592 0.174 0.686
Cu1 Cu 0.196 0.392 0.903
Cu2 Cu 0.500 0.000 0.000
Cu3 Cu 0.804 0.608 0.097
O1 O 0.050 0.583 0.313
O2 O 0.163 0.850 0.086
O3 O 0.288 0.971 0.761
O4 O 0.385 0.188 0.463
O5 O 0.450 0.451 0.146
O6 O 0.550 0.549 0.854
O7 O 0.615 0.812 0.537
O8 O 0.712 0.029 0.239
O9 O 0.837 0.150 0.914
O10 O 0.950 0.417 0.687
```

Top 10 peaks for 2θ from 15° to 90°, sorted by position:
| d [Å] | 2θ (°) | I/Imax |
| --- | --- | --- |
| 4.837 | 18.34 | 83 |
| 4.577 | 19.40 | 42 |
| 4.213 | 21.09 | 37 |
| 3.355 | 26.57 | 27 |
| 2.774 | 32.27 | 26 |
| 2.638 | 33.98 | 23 |
| 2.436 | 36.90 | 33 |
| 2.376 | 37.86 | 100 |
| 2.041 | 44.38 | 62 |
| 1.949 | 46.60 | 54 |


Starting from DFT lattice parameters and positions (GGA+U), the powder diffraction line list of Li2Fe3CuO8 was computed for Cu Kα X-rays.
No peak broadening, texture or thermal motion is included.

Atomic structure:
```
data_Li2Fe3CuO8
_cell_length_a 5.874
_cell_length_b 5.874
_cell_length_c 5.874
_cell_angle_alpha 58.87
_cell_angle_beta 58.87
_cell_angle_gamma 58.87
_space_group_name_H-M_alt 'P 1'
_space_group_IT_number 1
loop_
_space_group_symop_operation_xyz
'x,y,z'
loop_
_atom_site_label
_atom_site_type_symbol
_atom_site_fract_x
_atom_site_fract_y
_atom_site_fract_z
Li1 Li 0.000 0.000 0.000
Li2 Li 0.377 0.377 0.377
Fe1 Fe 0.491 0.997 0.997
Fe2 Fe 0.997 0.491 0.997
Fe3 Fe 0.997 0.997 0.491
Cu1 Cu 0.614 0.614 0.614
O1 O 0.207 0.751 0.751
O2 O 0.234 0.234 0.234
O3 O 0.248 0.248 0.786
O4 O 0.248 0.786 0.248
O5 O 0.751 0.207 0.751
O6 O 0.751 0.751 0.207
O7 O 0.756 0.756 0.756
O8 O 0.786 0.248 0.248
```

Top 10 peaks for 2θ from 15° to 90°, sorted by position:
| d [Å] | 2θ (°) | I/Imax |
| --- | --- | --- |
| 4.836 | 18.34 | 100 |
| 4.117 | 21.59 | 50 |
| 2.936 | 30.44 | 51 |
| 2.510 | 35.78 | 27 |
| 2.479 | 36.24 | 54 |
| 2.464 | 36.47 | 89 |
| 2.058 | 43.99 | 53 |
| 1.596 | 57.78 | 31 |
| 1.468 | 63.35 | 37 |
| 1.443 | 64.57 | 38 |


Starting from DFT lattice parameters and positions (GGA+U), the powder diffraction line list of Li2Fe3CuO8 was computed for Cu Kα X-rays.
No peak broadening, texture or thermal motion is included.

Atomic structure:
```
data_Li2Fe3CuO8
_cell_length_a 8.229
_cell_length_b 8.229
_cell_length_c 8.229
_cell_angle_alpha 90.00
_cell_angle_beta 90.00
_cell_angle_gamma 90.00
_space_group_name_H-M_alt 'P 1'
_space_group_IT_number 1
loop_
_space_group_symop_operation_xyz
'x,y,z'
loop_
_atom_site_label
_atom_site_type_symbol
_atom_site_fract_x
_atom_site_fract_y
_atom_site_fract_z
Li1 Li 0.123 0.123 0.123
Li2 Li 0.247 0.753 0.253
Li3 Li 0.253 0.247 0.753
Li4 Li 0.377 0.877 0.623
Li5 Li 0.623 0.377 0.877
Li6 Li 0.747 0.747 0.747
Li7 Li 0.753 0.253 0.247
Li8 Li 0.877 0.623 0.377
Fe1 Fe 0.120 0.874 0.877
Fe2 Fe 0.123 0.620 0.626
Fe3 Fe 0.126 0.377 0.380
Fe4 Fe 0.374 0.623 0.880
Fe5 Fe 0.377 0.380 0.126
Fe6 Fe 0.380 0.126 0.377
Fe7 Fe 0.620 0.626 0.123
Fe8 Fe 0.623 0.880 0.374
Fe9 Fe 0.626 0.123 0.620
Fe10 Fe 0.874 0.877 0.120
Fe11 Fe 0.877 0.120 0.874
Fe12 Fe 0.880 0.374 0.623
Cu1 Cu 0.007 0.993 0.493
Cu2 Cu 0.493 0.007 0.993
Cu3 Cu 0.507 0.507 0.507
Cu4 Cu 0.993 0.493 0.007
O1 O 0.102 0.871 0.103
O2 O 0.103 0.102 0.871
O3 O 0.116 0.384 0.616
O4 O 0.123 0.853 0.641
O5 O 0.129 0.603 0.398
O6 O 0.135 0.635 0.865
O7 O 0.141 0.377 0.147
O8 O 0.147 0.141 0.377
O9 O 0.353 0.859 0.877
O10 O 0.359 0.623 0.647
O11 O 0.365 0.365 0.365
O12 O 0.371 0.397 0.898
O13 O 0.377 0.147 0.141
O14 O 0.384 0.616 0.116
O15 O 0.397 0.898 0.371
O16 O 0.398 0.129 0.603
O17 O 0.602 0.629 0.897
O18 O 0.603 0.398 0.129
O19 O 0.616 0.116 0.384
O20 O 0.623 0.647 0.359
O21 O 0.629 0.897 0.602
O22 O 0.635 0.865 0.135
O23 O 0.641 0.123 0.853
O24 O 0.647 0.359 0.623
O25 O 0.853 0.641 0.123
O26 O 0.859 0.877 0.353
O27 O 0.865 0.135 0.635
O28 O 0.871 0.103 0.102
O29 O 0.877 0.353 0.859
O30 O 0.884 0.884 0.884
O31 O 0.897 0.602 0.629
O32 O 0.898 0.371 0.397
```

Top 10 peaks for 2θ from 15° to 90°, sorted by position:
| d [Å] | 2θ (°) | I/Imax |
| --- | --- | --- |
| 5.819 | 15.23 | 21 |
| 4.751 | 18.68 | 43 |
| 4.114 | 21.60 | 21 |
| 3.680 | 24.18 | 28 |
| 2.909 | 30.73 | 22 |
| 2.481 | 36.21 | 100 |
| 2.375 | 37.88 | 10 |
| 2.057 | 44.02 | 33 |
| 1.584 | 58.26 | 39 |
| 1.455 | 64.01 | 48 |


Starting from DFT lattice parameters and positions (GGA+U), the powder diffraction line list of Li5Fe3Cu2O10 was computed for Cu Kα X-rays.
No peak broadening, texture or thermal motion is included.

Atomic structure:
```
data_Li5Fe3Cu2O10
_cell_length_a 5.067
_cell_length_b 5.113
_cell_length_c 7.855
_cell_angle_alpha 108.51
_cell_angle_beta 101.94
_cell_angle_gamma 100.51
_space_group_name_H-M_alt 'P 1'
_space_group_IT_number 1
loop_
_space_group_symop_operation_xyz
'x,y,z'
loop_
_atom_site_label
_atom_site_type_symbol
_atom_site_fract_x
_atom_site_fract_y
_atom_site_fract_z
Li1 Li 0.000 0.000 0.000
Li2 Li 0.120 0.215 0.723
Li3 Li 0.286 0.605 0.090
Li4 Li 0.714 0.395 0.910
Li5 Li 0.880 0.785 0.277
Fe1 Fe 0.189 0.390 0.388
Fe2 Fe 0.500 0.000 0.500
Fe3 Fe 0.811 0.610 0.612
Cu1 Cu 0.402 0.804 0.809
Cu2 Cu 0.598 0.196 0.191
O1 O 0.050 0.604 0.840
O2 O 0.167 0.791 0.555
O3 O 0.272 0.015 0.273
O4 O 0.364 0.186 0.956
O5 O 0.452 0.387 0.636
O6 O 0.548 0.613 0.364
O7 O 0.636 0.814 0.044
O8 O 0.728 0.985 0.727
O9 O 0.833 0.209 0.445
O10 O 0.950 0.396 0.160
```

Top 10 peaks for 2θ from 15° to 90°, sorted by position:
| d [Å] | 2θ (°) | I/Imax |
| --- | --- | --- |
| 4.806 | 18.46 | 70 |
| 4.777 | 18.58 | 31 |
| 3.902 | 22.79 | 22 |
| 3.353 | 26.59 | 15 |
| 2.537 | 35.39 | 28 |
| 2.403 | 37.42 | 20 |
| 2.103 | 43.00 | 100 |
| 2.056 | 44.05 | 48 |
| 1.473 | 63.12 | 27 |
| 1.468 | 63.38 | 26 |


Starting from DFT lattice parameters and positions (GGA+U), the powder diffraction line list of Li4Fe3CuP4O16 was computed for Cu Kα X-rays.
No peak broadening, texture or thermal motion is included.

Atomic structure:
```
data_Li4Fe3CuP4O16
_cell_length_a 4.756
_cell_length_b 6.109
_cell_length_c 10.320
_cell_angle_alpha 90.00
_cell_angle_beta 91.18
_cell_angle_gamma 90.00
_space_group_name_H-M_alt 'P 1'
_space_group_IT_number 1
loop_
_space_group_symop_operation_xyz
'x,y,z'
loop_
_atom_site_label
_atom_site_type_symbol
_atom_site_fract_x
_atom_site_fract_y
_atom_site_fract_z
Li1 Li 0.000 0.248 0.000
Li2 Li 0.000 0.752 0.000
Li3 Li 0.483 0.248 0.490
Li4 Li 0.483 0.752 0.490
Fe1 Fe 0.018 0.000 0.712
Fe2 Fe 0.467 0.000 0.210
Fe3 Fe 0.516 0.500 0.775
Cu1 Cu 0.929 0.500 0.282
P1 P 0.062 0.500 0.584
P2 P 0.411 0.500 0.094
P3 P 0.580 0.000 0.899
P4 P 0.908 0.000 0.399
O1 O 0.174 0.500 0.443
O2 O 0.203 0.298 0.654
O3 O 0.203 0.702 0.654
O4 O 0.231 0.000 0.398
O5 O 0.257 0.000 0.897
O6 O 0.283 0.294 0.159
O7 O 0.283 0.706 0.159
O8 O 0.297 0.500 0.951
O9 O 0.710 0.000 0.038
O10 O 0.710 0.203 0.827
O11 O 0.710 0.797 0.827
O12 O 0.739 0.500 0.103
O13 O 0.739 0.500 0.588
O14 O 0.771 0.201 0.326
O15 O 0.771 0.799 0.326
O16 O 0.783 0.000 0.537
```

Top 10 peaks for 2θ from 15° to 90°, sorted by position:
| d [Å] | 2θ (°) | I/Imax |
| --- | --- | --- |
| 5.159 | 17.19 | 46 |
| 4.353 | 20.40 | 50 |
| 4.285 | 20.73 | 32 |
| 3.543 | 25.13 | 59 |
| 3.508 | 25.39 | 56 |
| 3.055 | 29.23 | 100 |
| 2.556 | 35.10 | 59 |
| 2.515 | 35.70 | 62 |
| 2.376 | 37.86 | 30 |
| 1.655 | 55.51 | 26 |


Starting from DFT lattice parameters and positions (GGA+U), the powder diffraction line list of Li4FeCu3P4O16 was computed for Cu Kα X-rays.
No peak broadening, texture or thermal motion is included.

Atomic structure:
```
data_Li4FeCu3P4O16
_cell_length_a 4.766
_cell_length_b 6.089
_cell_length_c 10.131
_cell_angle_alpha 90.00
_cell_angle_beta 90.56
_cell_angle_gamma 90.00
_space_group_name_H-M_alt 'P 1'
_space_group_IT_number 1
loop_
_space_group_symop_operation_xyz
'x,y,z'
loop_
_atom_site_label
_atom_site_type_symbol
_atom_site_fract_x
_atom_site_fract_y
_atom_site_fract_z
Li1 Li 0.000 0.243 0.000
Li2 Li 0.000 0.757 0.000
Li3 Li 0.503 0.244 0.479
Li4 Li 0.503 0.756 0.479
Fe1 Fe 0.978 0.500 0.708
Cu1 Cu 0.024 0.000 0.274
Cu2 Cu 0.445 0.000 0.774
Cu3 Cu 0.536 0.500 0.206
P1 P 0.078 0.500 0.394
P2 P 0.410 0.500 0.892
P3 P 0.572 0.000 0.084
P4 P 0.924 0.000 0.586
O1 O 0.196 0.500 0.541
O2 O 0.212 0.296 0.327
O3 O 0.212 0.704 0.327
O4 O 0.247 0.000 0.589
O5 O 0.249 0.000 0.087
O6 O 0.262 0.303 0.818
O7 O 0.262 0.697 0.818
O8 O 0.301 0.500 0.035
O9 O 0.684 0.000 0.939
O10 O 0.710 0.203 0.153
O11 O 0.710 0.797 0.153
O12 O 0.731 0.500 0.880
O13 O 0.754 0.500 0.393
O14 O 0.794 0.000 0.445
O15 O 0.798 0.209 0.656
O16 O 0.798 0.791 0.656
```

Top 10 peaks for 2θ from 15° to 90°, sorted by position:
| d [Å] | 2θ (°) | I/Imax |
| --- | --- | --- |
| 5.065 | 17.51 | 60 |
| 4.329 | 20.52 | 57 |
| 4.296 | 20.68 | 33 |
| 3.528 | 25.24 | 65 |
| 3.510 | 25.37 | 67 |
| 3.045 | 29.33 | 100 |
| 2.520 | 35.63 | 62 |
| 2.501 | 35.91 | 71 |
| 2.488 | 36.10 | 45 |
| 1.755 | 52.11 | 32 |


What did the eighth record say?
Starting from DFT lattice parameters and positions (GGA+U), the powder diffraction line list of Li4FeCu3P4O16 was computed for Cu Kα X-rays.
No peak broadening, texture or thermal motion is included.

Atomic structure:
```
data_Li4FeCu3P4O16
_cell_length_a 4.766
_cell_length_b 6.089
_cell_length_c 10.131
_cell_angle_alpha 90.00
_cell_angle_beta 90.56
_cell_angle_gamma 90.00
_space_group_name_H-M_alt 'P 1'
_space_group_IT_number 1
loop_
_space_group_symop_operation_xyz
'x,y,z'
loop_
_atom_site_label
_atom_site_type_symbol
_atom_site_fract_x
_atom_site_fract_y
_atom_site_fract_z
Li1 Li 0.000 0.243 0.000
Li2 Li 0.000 0.757 0.000
Li3 Li 0.503 0.244 0.479
Li4 Li 0.503 0.756 0.479
Fe1 Fe 0.978 0.500 0.708
Cu1 Cu 0.024 0.000 0.274
Cu2 Cu 0.445 0.000 0.774
Cu3 Cu 0.536 0.500 0.206
P1 P 0.078 0.500 0.394
P2 P 0.410 0.500 0.892
P3 P 0.572 0.000 0.084
P4 P 0.924 0.000 0.586
O1 O 0.196 0.500 0.541
O2 O 0.212 0.296 0.327
O3 O 0.212 0.704 0.327
O4 O 0.247 0.000 0.589
O5 O 0.249 0.000 0.087
O6 O 0.262 0.303 0.818
O7 O 0.262 0.697 0.818
O8 O 0.301 0.500 0.035
O9 O 0.684 0.000 0.939
O10 O 0.710 0.203 0.153
O11 O 0.710 0.797 0.153
O12 O 0.731 0.500 0.880
O13 O 0.754 0.500 0.393
O14 O 0.794 0.000 0.445
O15 O 0.798 0.209 0.656
O16 O 0.798 0.791 0.656
```

Top 10 peaks for 2θ from 15° to 90°, sorted by position:
| d [Å] | 2θ (°) | I/Imax |
| --- | --- | --- |
| 5.065 | 17.51 | 60 |
| 4.329 | 20.52 | 57 |
| 4.296 | 20.68 | 33 |
| 3.528 | 25.24 | 65 |
| 3.510 | 25.37 | 67 |
| 3.045 | 29.33 | 100 |
| 2.520 | 35.63 | 62 |
| 2.501 | 35.91 | 71 |
| 2.488 | 36.10 | 45 |
| 1.755 | 52.11 | 32 |